(1)
SmVO3: theoretical powder X-ray diffraction pattern (copper Kα), based on the GGA+U geometry in the Materials Project.

The 8 most intense peaks (10 to 80 degrees two-theta), low angle first:
| d/Å | I/Imax |
| --- | --- |
| 3.953 | 24 |
| 3.520 | 22 |
| 2.873 | 19 |
| 2.763 | 100 |
| 2.723 | 25 |
| 1.916 | 22 |
| 1.760 | 21 |
| 1.580 | 22 |

Structural model:
```
data_SmVO3
_chemical_formula_sum 'Sm4 V4 O12'
_cell_length_a 5.7467
_cell_length_b 7.7292
_cell_length_c 5.4466
_cell_angle_alpha 90.00
_cell_angle_beta 90.00
_cell_angle_gamma 90.00
_space_group_name_H-M_alt 'P 1'
_space_group_IT_number 1
_space_group_name_Hall 'P 1'
loop_
_atom_site_label
_atom_site_fract_x
_atom_site_fract_y
_atom_site_fract_z
Sm1 0.0647 0.2500 0.0185
Sm2 0.4353 0.7500 0.5185
Sm3 0.5647 0.2500 0.4815
Sm4 0.9353 0.7500 0.9815
V1 0.0000 0.0000 0.5000
V2 0.0000 0.5000 0.5000
V3 0.5000 0.0000 0.0000
V4 0.5000 0.5000 0.0000
O1 0.0341 0.7500 0.3958
O2 0.1936 0.5526 0.7992
O3 0.1936 0.9474 0.7992
O4 0.3064 0.0526 0.2992
O5 0.3064 0.4474 0.2992
O6 0.4659 0.2500 0.8958
O7 0.5341 0.7500 0.1042
O8 0.6936 0.5526 0.7008
O9 0.6936 0.9474 0.7008
O10 0.8064 0.0526 0.2008
O11 0.8064 0.4474 0.2008
O12 0.9659 0.2500 0.6042
```

=====

(2)
Sm2V2O7: theoretical powder X-ray diffraction pattern (copper Kα), based on the GGA+U geometry in the Materials Project.

The 8 most intense peaks (10 to 80 degrees two-theta), low angle first:
| d/Å | I/Imax |
| --- | --- |
| 5.920 | 25 |
| 3.091 | 14 |
| 2.960 | 100 |
| 2.563 | 29 |
| 2.352 | 19 |
| 1.813 | 48 |
| 1.546 | 41 |
| 1.480 | 9 |

Structural model:
```
data_Sm2V2O7
_chemical_formula_sum 'Sm4 V4 O14'
_cell_length_a 7.2501
_cell_length_b 7.2501
_cell_length_c 7.2501
_cell_angle_alpha 60.00
_cell_angle_beta 60.00
_cell_angle_gamma 60.00
_space_group_name_H-M_alt 'P 1'
_space_group_IT_number 1
_space_group_name_Hall 'P 1'
loop_
_atom_site_label
_atom_site_fract_x
_atom_site_fract_y
_atom_site_fract_z
Sm1 0.0000 0.0000 0.0000
Sm2 0.0000 0.0000 0.5000
Sm3 0.0000 0.5000 0.0000
Sm4 0.5000 0.0000 0.0000
V1 0.0000 0.5000 0.5000
V2 0.5000 0.0000 0.5000
V3 0.5000 0.5000 0.0000
V4 0.5000 0.5000 0.5000
O1 0.1250 0.1250 0.1250
O2 0.1719 0.1719 0.5781
O3 0.1719 0.5781 0.1719
O4 0.1719 0.5781 0.5781
O5 0.4219 0.4219 0.8281
O6 0.4219 0.8281 0.4219
O7 0.4219 0.8281 0.8281
O8 0.5781 0.1719 0.1719
O9 0.5781 0.1719 0.5781
O10 0.5781 0.5781 0.1719
O11 0.8281 0.4219 0.4219
O12 0.8281 0.4219 0.8281
O13 0.8281 0.8281 0.4219
O14 0.8750 0.8750 0.8750
```

=====

(3)
Sm2WO6: theoretical powder X-ray diffraction pattern (copper Kα), based on the GGA+U geometry in the Materials Project.

The 8 most intense peaks (10 to 80 degrees two-theta), low angle first:
| d/Å | I/Imax |
| --- | --- |
| 3.212 | 100 |
| 3.134 | 84 |
| 2.842 | 23 |
| 2.760 | 21 |
| 2.650 | 18 |
| 1.980 | 25 |
| 1.947 | 19 |
| 1.938 | 24 |

Structural model:
```
data_Sm2WO6
_chemical_formula_sum 'Sm8 W4 O24'
_cell_length_a 10.0823
_cell_length_b 10.0823
_cell_length_c 5.5226
_cell_angle_alpha 104.20
_cell_angle_beta 104.20
_cell_angle_gamma 68.64
_space_group_name_H-M_alt 'P 1'
_space_group_IT_number 1
_space_group_name_Hall 'P 1'
loop_
_atom_site_label
_atom_site_fract_x
_atom_site_fract_y
_atom_site_fract_z
Sm1 0.0576 0.2876 0.8845
Sm2 0.1074 0.8926 0.7500
Sm3 0.2876 0.0576 0.3845
Sm4 0.3678 0.6322 0.2500
Sm5 0.6322 0.3678 0.7500
Sm6 0.7124 0.9424 0.6155
Sm7 0.8926 0.1074 0.2500
Sm8 0.9424 0.7124 0.1155
W1 0.1999 0.4952 0.5651
W2 0.4952 0.1999 0.0651
W3 0.5048 0.8001 0.9349
W4 0.8001 0.5048 0.4349
O1 0.0640 0.4725 0.2676
O2 0.0772 0.1070 0.0785
O3 0.1070 0.0772 0.5785
O4 0.1610 0.6842 0.4206
O5 0.1750 0.6183 0.8774
O6 0.2165 0.3208 0.6463
O7 0.3158 0.8390 0.0794
O8 0.3208 0.2165 0.1463
O9 0.3817 0.8250 0.6226
O10 0.3862 0.4562 0.5223
O11 0.4562 0.3862 0.0223
O12 0.4725 0.0640 0.7676
O13 0.5275 0.9360 0.2324
O14 0.5438 0.6138 0.9777
O15 0.6139 0.5438 0.4777
O16 0.6183 0.1750 0.3774
O17 0.6792 0.7835 0.8537
O18 0.6842 0.1610 0.9206
O19 0.7835 0.6792 0.3537
O20 0.8250 0.3817 0.1226
O21 0.8390 0.3158 0.5794
O22 0.8930 0.9228 0.4215
O23 0.9228 0.8930 0.9215
O24 0.9360 0.5275 0.7324
```

=====

(4)
Sm2WO6: theoretical powder X-ray diffraction pattern (copper Kα), based on the GGA+U geometry in the Materials Project.

The 8 most intense peaks (10 to 80 degrees two-theta), low angle first:
| d/Å | I/Imax |
| --- | --- |
| 3.523 | 31 |
| 3.440 | 59 |
| 3.330 | 100 |
| 2.970 | 24 |
| 2.745 | 66 |
| 2.694 | 33 |
| 2.651 | 26 |
| 1.735 | 28 |

Structural model:
```
data_Sm2WO6
_chemical_formula_sum 'Sm8 W4 O24'
_cell_length_a 5.3873
_cell_length_b 9.3155
_cell_length_c 10.1869
_cell_angle_alpha 90.00
_cell_angle_beta 90.00
_cell_angle_gamma 90.00
_space_group_name_H-M_alt 'P 1'
_space_group_IT_number 1
_space_group_name_Hall 'P 1'
loop_
_atom_site_label
_atom_site_fract_x
_atom_site_fract_y
_atom_site_fract_z
Sm1 0.0207 0.1035 0.4650
Sm2 0.0360 0.2188 0.8705
Sm3 0.4640 0.7812 0.3705
Sm4 0.4793 0.8965 0.9650
Sm5 0.5207 0.3965 0.5350
Sm6 0.5360 0.2812 0.1295
Sm7 0.9640 0.7188 0.6295
Sm8 0.9793 0.6035 0.0350
W1 0.0400 0.4961 0.3486
W2 0.4600 0.5039 0.8486
W3 0.5400 0.0039 0.6514
W4 0.9600 0.9961 0.1514
O1 0.0802 0.8462 0.0308
O2 0.1721 0.9519 0.2941
O3 0.1868 0.6366 0.8195
O4 0.1898 0.6381 0.2373
O5 0.2265 0.1128 0.0675
O6 0.2480 0.5895 0.4909
O7 0.2520 0.4105 0.9909
O8 0.2735 0.8872 0.5675
O9 0.3102 0.3619 0.7373
O10 0.3132 0.3634 0.3195
O11 0.3279 0.0481 0.7941
O12 0.4198 0.1538 0.5308
O13 0.5802 0.6538 0.9692
O14 0.6721 0.5481 0.7059
O15 0.6868 0.8634 0.1805
O16 0.6898 0.8619 0.7627
O17 0.7265 0.3872 0.9325
O18 0.7480 0.9105 0.5091
O19 0.7520 0.0895 0.0091
O20 0.7735 0.6128 0.4325
O21 0.8102 0.1381 0.2627
O22 0.8132 0.1366 0.6805
O23 0.8279 0.4519 0.2059
O24 0.9198 0.3462 0.4692
```

=====

(5)
Sm2WO6: theoretical powder X-ray diffraction pattern (copper Kα), based on the GGA+U geometry in the Materials Project.

The 8 most intense peaks (10 to 80 degrees two-theta), low angle first:
| d/Å | I/Imax |
| --- | --- |
| 3.185 | 99 |
| 3.115 | 100 |
| 2.854 | 20 |
| 2.753 | 24 |
| 2.596 | 20 |
| 1.981 | 17 |
| 1.889 | 35 |
| 1.599 | 13 |

Structural model:
```
data_Sm2WO6
_chemical_formula_sum 'Sm8 W4 O24'
_cell_length_a 7.8456
_cell_length_b 5.5066
_cell_length_c 11.6873
_cell_angle_alpha 90.00
_cell_angle_beta 104.09
_cell_angle_gamma 90.00
_space_group_name_H-M_alt 'P 1'
_space_group_IT_number 1
_space_group_name_Hall 'P 1'
loop_
_atom_site_label
_atom_site_fract_x
_atom_site_fract_y
_atom_site_fract_z
Sm1 0.0000 0.1832 0.2500
Sm2 0.0000 0.8168 0.7500
Sm3 0.2966 0.3098 0.9231
Sm4 0.2966 0.6902 0.4231
Sm5 0.5000 0.2373 0.2500
Sm6 0.5000 0.7627 0.7500
Sm7 0.7034 0.3098 0.5769
Sm8 0.7034 0.6902 0.0769
W1 0.2218 0.2466 0.6139
W2 0.2218 0.7534 0.1139
W3 0.7782 0.2466 0.8861
W4 0.7782 0.7534 0.3861
O1 0.0063 0.1381 0.8881
O2 0.0063 0.8619 0.3881
O3 0.1360 0.3495 0.4549
O4 0.1360 0.6505 0.9549
O5 0.2088 0.4899 0.2269
O6 0.2088 0.5101 0.7269
O7 0.2837 0.0387 0.7689
O8 0.2837 0.9613 0.2689
O9 0.3510 0.0183 0.0695
O10 0.3510 0.9817 0.5695
O11 0.4355 0.4590 0.6039
O12 0.4355 0.5410 0.1039
O13 0.5645 0.4590 0.8961
O14 0.5645 0.5410 0.3961
O15 0.6490 0.0183 0.4305
O16 0.6490 0.9817 0.9305
O17 0.7163 0.0387 0.7311
O18 0.7163 0.9613 0.2311
O19 0.7912 0.4899 0.2731
O20 0.7912 0.5101 0.7731
O21 0.8640 0.3495 0.0451
O22 0.8640 0.6505 0.5451
O23 0.9937 0.1381 0.6119
O24 0.9937 0.8619 0.1119
```